Entry 1:
Diffraction record for Y2PaSiO8. The powder diffractogram is computed, not measured: it uses a cell relaxed with GGA-PBE and Cu Kα X-rays.

Lattice parameters (Å, degrees): 4.939 6.607 4.940 90.00 91.16 90.00
Atoms (fractional coordinates):
Y 0.000 0.233 0.000
Y 0.000 0.767 0.000
Pa 0.500 0.500 0.500
Si 0.500 0.000 0.500
O 0.197 0.500 0.198
O 0.243 0.000 0.244
O 0.325 0.211 0.676
O 0.325 0.789 0.676
O 0.675 0.211 0.324
O 0.675 0.789 0.324
O 0.757 0.000 0.756
O 0.803 0.500 0.802

Main lines, sorted by position (10 to 90 degrees two-theta):
d [Å]  2θ/deg  I (rel.)
6.607  13.4  31
3.956  22.5  63
3.528  25.2  68
3.457  25.8  59
2.746  32.6  100
2.469  36.4  28
1.846  49.4  45
1.826  49.9  37
1.473  63.1  24
1.131  85.9  19

***

Entry 2:
Diffraction record for PaZnSi2O8. The powder diffractogram is computed, not measured: it uses a cell relaxed with GGA-PBE and Cu Kα X-rays.

Lattice parameters (Å, degrees): 5.729 5.729 5.729 107.49 107.49 113.52
Atoms (fractional coordinates):
Pa 0.000 0.000 0.000
Zn 0.750 0.250 0.500
Si 0.250 0.750 0.500
Si 0.500 0.500 0.000
O 0.087 0.399 0.312
O 0.087 0.775 0.688
O 0.144 0.330 0.814
O 0.225 0.913 0.312
O 0.516 0.330 0.186
O 0.601 0.913 0.688
O 0.670 0.484 0.814
O 0.670 0.856 0.186

Main lines, sorted by position (10 to 90 degrees two-theta):
d [Å]  2θ/deg  I (rel.)
4.792  18.5  35
4.607  19.3  100
3.388  26.3  93
2.729  32.8  43
2.627  34.1  72
2.126  42.5  26
2.000  45.3  20
1.801  50.7  25
1.770  51.6  57
1.424  65.5  29